No. 1
This entry pairs a crystal structure of CuGe4Os with its simulated X-ray diffraction stick pattern. Radiation: CuKα. Structure: the PBE geometry in Alexandria.

Cell lengths 6.144, 6.144, 10.358 Å; angles 90.00, 90.00, 90.00 degrees
Space group I4/mcm (No. 140)
Symmetry-distinct sites (fractional):
Cu (0.000, 0.000, 0.000) (multiplicity 4)
Ge (0.149, 0.351, 0.136) (multiplicity 16)
Os (0.000, 0.000, 0.250) (multiplicity 4)

Largest 10 diffraction maxima, in order of falling intensity, 2θ from 5° to 70°:
hkl 1 1 4, 2.224 Å, intensity 100
hkl 3 1 0, 1.943 Å, intensity 93
hkl 2 0 4, 1.980 Å, intensity 64
hkl 2 1 1, 2.656 Å, intensity 60
hkl 2 1 3, 2.150 Å, intensity 53
hkl 1 1 0, 4.344 Å, intensity 49
hkl 0 0 2, 5.179 Å, intensity 43
hkl 2 2 0, 2.172 Å, intensity 29
hkl 2 0 0, 3.072 Å, intensity 26
hkl 1 1 2, 3.328 Å, intensity 24


No. 2
This entry pairs a crystal structure of LaTbPrY with its simulated X-ray diffraction stick pattern. Radiation: CuKα. Structure: the PBE geometry in Alexandria.

Cell lengths 5.174, 5.174, 10.302 Å; angles 90.00, 90.00, 90.00 degrees
Space group I-4m2 (No. 119)
Symmetry-distinct sites (fractional):
La (0.000, 0.000, 0.000) (multiplicity 2)
Tb (0.000, 0.000, 0.500) (multiplicity 2)
Pr (0.000, 0.500, 0.250) (multiplicity 2)
Y (0.000, 0.500, 0.750) (multiplicity 2)

Largest 10 diffraction maxima, in order of falling intensity, 2θ from 5° to 70°:
hkl 1 1 2, 2.983 Å, intensity 100
hkl 2 0 0, 2.587 Å, intensity 34
hkl 3 1 2, 1.559 Å, intensity 29
hkl 2 0 4, 1.825 Å, intensity 24
hkl 0 0 4, 2.575 Å, intensity 17
hkl 1 1 6, 1.554 Å, intensity 14
hkl 2 2 4, 1.491 Å, intensity 12
hkl 2 2 0, 1.829 Å, intensity 12
hkl 1 0 1, 4.623 Å, intensity 3
hkl 0 0 2, 5.151 Å, intensity 1


No. 3
This entry pairs a crystal structure of PaCoTcGe2 with its simulated X-ray diffraction stick pattern. Radiation: CuKα. Structure: the PBE geometry in Alexandria.

Cell lengths 4.159, 4.159, 9.900 Å; angles 90.00, 90.00, 90.00 degrees
Space group I-4m2 (No. 119)
Symmetry-distinct sites (fractional):
Pa (0.000, 0.000, 0.000) (multiplicity 2)
Co (0.000, 0.500, 0.750) (multiplicity 2)
Tc (0.000, 0.500, 0.250) (multiplicity 2)
Ge (0.000, 0.000, 0.373) (multiplicity 4)

Largest 10 diffraction maxima, in order of falling intensity, 2θ from 5° to 70°:
hkl 1 1 2, 2.528 Å, intensity 100
hkl 1 0 3, 2.585 Å, intensity 82
hkl 2 0 0, 2.079 Å, intensity 55
hkl 2 1 3, 1.620 Å, intensity 40
hkl 1 0 1, 3.834 Å, intensity 30
hkl 1 0 5, 1.788 Å, intensity 26
hkl 1 1 0, 2.941 Å, intensity 23
hkl 2 1 5, 1.356 Å, intensity 21
hkl 1 1 6, 1.439 Å, intensity 18
hkl 2 2 0, 1.470 Å, intensity 18


No. 4
This entry pairs a crystal structure of LiTl2Ag with its simulated X-ray diffraction stick pattern. Radiation: CuKα. Structure: the PBE geometry in Alexandria.

Cell lengths 3.449, 3.645, 7.087 Å; angles 90.00, 92.09, 90.00 degrees
Space group P2/m (No. 10)
Symmetry-distinct sites (fractional):
Li (0.000, 0.000, 0.000) (multiplicity 1)
Tl (0.492, 0.500, 0.245) (multiplicity 2)
Ag (0.000, 0.000, 0.500) (multiplicity 1)

Largest 10 diffraction maxima, in order of falling intensity, 2θ from 5° to 70°:
hkl 0 1 2, 2.540 Å, intensity 100
hkl 1 1 0, 2.504 Å, intensity 96
hkl 1 0 -2, 2.516 Å, intensity 49
hkl 1 0 2, 2.426 Å, intensity 44
hkl 0 1 0, 3.645 Å, intensity 37
hkl 0 0 2, 3.541 Å, intensity 35
hkl 1 0 0, 3.447 Å, intensity 32
hkl 0 0 1, 7.082 Å, intensity 21
hkl 1 2 -2, 1.476 Å, intensity 19
hkl 0 2 0, 1.823 Å, intensity 19